Diffraction record for K3Mo2BrO7. The XRD peak list is simulated, not measured: it uses a DFT-relaxed cell (PBE+U, Alexandria) and a wavelength of 1.5418 Å.
Peak positions follow from Bragg's law for the DFT cell and can differ from measured ones.

Crystal structure
Cell lengths 6.152, 6.152, 15.936 Å; angles 90.00, 90.00, 120.00 degrees
Atoms (fractional coordinates):
K 0.333 0.667 0.041
K 0.333 0.667 0.459
K 0.333 0.667 0.750
K 0.667 0.333 0.250
K 0.667 0.333 0.541
K 0.667 0.333 0.959
Mo 0.000 0.000 0.130
Mo 0.000 0.000 0.370
Mo 0.000 0.000 0.630
Mo 0.000 0.000 0.870
Br 0.333 0.667 0.250
Br 0.667 0.333 0.750
O 0.000 0.000 0.250
O 0.000 0.000 0.750
O 0.155 0.311 0.592
O 0.155 0.311 0.908
O 0.155 0.845 0.592
O 0.155 0.845 0.908
O 0.311 0.155 0.092
O 0.311 0.155 0.408
O 0.689 0.845 0.592
O 0.689 0.845 0.908
O 0.845 0.155 0.092
O 0.845 0.155 0.408
O 0.845 0.689 0.092
O 0.845 0.689 0.408

Top 10 peaks for 2θ = 10–90°, by angle:
(hkl), 2theta, I (rel.)
1 0 0, 16.64, 43.2
1 0 4, 27.96, 100.0
1 1 0, 29.03, 88.1
2 0 4, 40.74, 23.9
2 1 4, 50.80, 32.0
3 0 0, 51.45, 16.3
1 1 8, 54.91, 15.6
2 2 0, 60.16, 16.3
1 1 10, 66.00, 13.8
3 1 4, 67.62, 14.5